K3CoO2: calculated powder diffraction line list (Cu Kα (weighted mean of Kα1 and Kα2)), based on DFT lattice parameters and positions (GGA+U).
Lines closer than 0.1° are merged.

Top 12 peaks for 5° ≤ 2θ ≤ 70°, low angle first:
d = 5.089 Å, I = 290; d = 4.320 Å, I = 189; d = 3.200 Å, I = 559; d = 3.184 Å, I = 420; d = 3.009 Å, I = 838; d = 2.813 Å, I = 849; d = 2.734 Å, I = 672; d = 2.567 Å, I = 710; d = 2.542 Å, I = 1000; d = 2.512 Å, I = 490; d = 2.302 Å, I = 333; d = 1.742 Å, I = 282

Crystal structure
```
data_K3CoO2
_chemical_formula_sum 'K12 Co4 O8'
_cell_length_a 6.4739
_cell_length_b 9.5267
_cell_length_c 9.2103
_cell_angle_alpha 90.00
_cell_angle_beta 111.60
_cell_angle_gamma 90.00
_space_group_name_H-M_alt 'P 1'
_space_group_IT_number 1
loop_
_space_group_symop_operation_xyz
'x,y,z'
loop_
_atom_site_label
_atom_site_type_symbol
_atom_site_fract_x
_atom_site_fract_y
_atom_site_fract_z
K1 K 0.2395 0.0312 0.3735
K2 K 0.2395 0.4688 0.8735
K3 K 0.2553 0.0353 0.9966
K4 K 0.2553 0.4647 0.4966
K5 K 0.2574 0.7090 0.1875
K6 K 0.2574 0.7910 0.6875
K7 K 0.7426 0.2090 0.3125
K8 K 0.7426 0.2910 0.8125
K9 K 0.7447 0.5353 0.5034
K10 K 0.7447 0.9647 0.0034
K11 K 0.7605 0.5312 0.1265
K12 K 0.7605 0.9688 0.6265
Co1 Co 0.2076 0.1781 0.6725
Co2 Co 0.2076 0.3219 0.1725
Co3 Co 0.7924 0.6781 0.8275
Co4 Co 0.7924 0.8219 0.3275
O1 O 0.0101 0.6956 0.3827
O2 O 0.0101 0.8044 0.8827
O3 O 0.4333 0.0575 0.7256
O4 O 0.4333 0.4425 0.2256
O5 O 0.5667 0.5575 0.7744
O6 O 0.5667 0.9425 0.2744
O7 O 0.9899 0.1956 0.1173
O8 O 0.9899 0.3044 0.6173
```